No. 1
The following is a calculated powder XRD pattern of Zr4Cr. It was derived from a structure optimized by DFT (GGA-PBE), using Cu Ka.
Intensities are scaled so that the largest is 100.

Structural model:
```
Zr4Cr
1.0
0.000 4.876 4.876
4.876 0.000 4.876
4.876 4.876 0.000
Zr Cr
8 2
direct
0.201 0.766 0.766
0.234 0.234 0.234
0.234 0.234 0.799
0.234 0.799 0.234
0.766 0.201 0.766
0.766 0.766 0.201
0.766 0.766 0.766
0.799 0.234 0.234
0.375 0.375 0.375
0.625 0.625 0.625
```

Principal peaks in the range 5° ≤ 2θ ≤ 70°, in order of rising 2θ:
d/Å	2θ/deg	Rel. int.
3.448	25.84	10
2.815	31.78	100
2.438	36.87	34
2.237	40.31	20
1.877	48.50	22
1.724	53.12	37
1.625	56.63	1
1.470	63.25	27
1.408	66.41	5
1.366	68.74	9

---

No. 2
The following is a calculated powder XRD pattern of Cu3B5Pt9. It was derived from a structure optimized by DFT (GGA-PBE), using Cu Ka.
Intensities are scaled so that the largest is 100.

Structural model:
```
Cu3B5Pt9
1.0
9.089 0.000 0.000
-4.544 7.871 0.000
0.000 0.000 2.997
Cu B Pt
3 5 9
direct
0.000 0.459 0.000
0.459 0.000 0.000
0.541 0.541 0.000
0.000 0.811 0.500
0.189 0.189 0.500
0.333 0.667 0.000
0.667 0.333 0.000
0.811 0.000 0.500
0.000 0.177 0.000
0.177 0.000 0.000
0.196 0.734 0.500
0.266 0.462 0.500
0.462 0.266 0.500
0.538 0.804 0.500
0.734 0.196 0.500
0.804 0.538 0.500
0.823 0.823 0.000
```

Principal peaks in the range 5° ≤ 2θ ≤ 70°, in order of rising 2θ:
d/Å	2θ/deg	Rel. int.
2.975	30.04	48
2.801	31.95	48
2.624	34.17	33
2.502	35.89	29
2.384	37.73	23
2.183	41.36	76
2.111	42.83	100
1.968	46.13	22
1.811	50.40	49
1.498	61.93	15

---

No. 3
The following is a calculated powder XRD pattern of Fe3Pt. It was derived from a structure optimized by DFT (GGA-PBE), using Cu Ka.
Intensities are scaled so that the largest is 100.

Structural model:
```
Fe3Pt
1.0
1.534 -2.120 0.000
1.534 2.120 0.000
0.000 0.000 8.103
Fe Pt
3 1
direct
0.000 0.000 0.000
0.500 0.500 0.235
0.500 0.500 0.765
0.000 0.000 0.500
```

Principal peaks in the range 5° ≤ 2θ ≤ 70°, in order of rising 2θ:
d/Å	2θ/deg	Rel. int.
8.103	10.92	54
4.052	21.94	15
2.701	33.17	8
2.486	36.14	8
2.376	37.86	17
2.119	42.67	100
2.026	44.74	17
1.534	60.33	7
1.465	63.52	11
1.358	69.20	5

---

No. 4
The following is a calculated powder XRD pattern of Be2Ag. It was derived from a structure optimized by DFT (GGA-PBE), using Cu Ka.
Intensities are scaled so that the largest is 100.

Structural model:
```
Be2Ag
1.0
0.000 3.210 3.210
3.210 0.000 3.210
3.210 3.210 0.000
Be Ag
4 2
direct
0.000 0.000 0.000
0.000 0.000 0.500
0.000 0.500 0.000
0.500 0.000 0.000
0.375 0.375 0.375
0.625 0.625 0.625
```

Principal peaks in the range 5° ≤ 2θ ≤ 70°, in order of rising 2θ:
d/Å	2θ/deg	Rel. int.
3.706	24.01	100
2.270	39.71	94
1.936	46.94	66
1.605	57.41	12
1.473	63.13	19

---

No. 5
The following is a calculated powder XRD pattern of KIn6Au4. It was derived from a structure optimized by DFT (GGA-PBE), using Cu Ka.
Intensities are scaled so that the largest is 100.

Structural model:
```
KIn6Au4
1.0
8.294 0.000 0.000
-4.147 7.183 0.000
0.000 0.000 4.506
K In Au
1 6 4
direct
0.000 0.000 0.000
0.197 0.393 0.500
0.197 0.803 0.500
0.534 0.069 0.000
0.534 0.466 0.000
0.607 0.803 0.500
0.931 0.466 0.000
0.333 0.667 0.000
0.409 0.205 0.500
0.795 0.205 0.500
0.795 0.591 0.500
```

Principal peaks in the range 5° ≤ 2θ ≤ 70°, in order of rising 2θ:
d/Å	2θ/deg	Rel. int.
7.183	12.32	45
3.052	29.27	24
2.809	31.86	64
2.715	32.99	38
2.325	38.72	100
2.253	40.02	33
2.114	42.77	34
2.074	43.65	26
1.734	52.80	20
1.369	68.56	27